The following is a computed powder X-ray diffraction pattern of Tb3PmPr5. It was derived from the PBE geometry in Alexandria, using Cu Kα X-rays.
No peak broadening, texture or thermal motion is included.

Structural model:
```
data_Tb3PmPr5
_cell_length_a 20.546
_cell_length_b 6.329
_cell_length_c 11.709
_cell_angle_alpha 90.00
_cell_angle_beta 122.30
_cell_angle_gamma 90.00
_space_group_name_H-M_alt 'C 1 2/c 1'
_space_group_IT_number 15
loop_
_space_group_symop_operation_xyz
'x,y,z'
'-x,-y,-z'
'-x,y,-z+1/2'
'x,-y,z+1/2'
'x+1/2,y+1/2,z'
'-x+1/2,-y+1/2,-z'
'-x+1/2,y+1/2,-z+1/2'
'x+1/2,-y+1/2,z+1/2'
loop_
_atom_site_label
_atom_site_fract_x
_atom_site_fract_y
_atom_site_fract_z
Tb1 0.000 0.000 0.000
Tb2 0.176 0.226 0.027
Pm1 0.000 0.113 0.750
Pr1 0.000 0.403 0.250
Pr2 0.141 0.320 0.657
Pr3 0.179 0.186 0.335
```

Top 12 peaks for 2θ from 10° to 90°, in order of falling intensity:
| h k l | Position (°2θ) | d [Å] | I (rel.) |
| --- | --- | --- | --- |
| 6 0 0 | 30.9 | 2.895 | 100 |
| 5 1 -3 | 29.1 | 3.065 | 93 |
| 1 1 3 | 33.4 | 2.686 | 91 |
| 1 1 -3 | 28.4 | 3.139 | 72 |
| 2 2 0 | 30.1 | 2.973 | 53 |
| 2 2 -1 | 29.8 | 3.003 | 49 |
| 6 0 -4 | 32.7 | 2.738 | 43 |
| 7 1 -3 | 34.6 | 2.592 | 39 |
| 5 1 -2 | 26.2 | 3.396 | 35 |
| 4 2 0 | 35.1 | 2.557 | 31 |
| 1 1 2 | 25.4 | 3.502 | 30 |
| 0 4 1 | 59.2 | 1.562 | 26 |



The following is a computed powder X-ray diffraction pattern of Tb6Pm2Nd5. It was derived from the PBE geometry in Alexandria, using Cu Kα X-rays.
No peak broadening, texture or thermal motion is included.

Structural model:
```
data_Tb6Pm2Nd5
_cell_length_a 11.795
_cell_length_b 20.696
_cell_length_c 3.629
_cell_angle_alpha 90.00
_cell_angle_beta 90.00
_cell_angle_gamma 90.00
_space_group_name_H-M_alt 'P b a m'
_space_group_IT_number 55
loop_
_space_group_symop_operation_xyz
'x,y,z'
'-x,-y,-z'
'-x,-y,z'
'x,y,-z'
'x+1/2,-y+1/2,-z'
'-x+1/2,y+1/2,z'
'-x+1/2,y+1/2,-z'
'x+1/2,-y+1/2,z'
loop_
_atom_site_label
_atom_site_fract_x
_atom_site_fract_y
_atom_site_fract_z
Tb1 0.062 0.077 0.000
Tb2 0.076 0.366 0.000
Tb3 0.180 0.632 0.500
Pm1 0.175 0.784 0.000
Nd1 0.000 0.500 0.500
Nd2 0.083 0.222 0.500
Nd3 0.200 0.947 0.500
```

Top 12 peaks for 2θ from 10° to 90°, in order of falling intensity:
| h k l | Position (°2θ) | d [Å] | I (rel.) |
| --- | --- | --- | --- |
| 2 3 1 | 31.7 | 2.821 | 100 |
| 1 7 0 | 31.2 | 2.868 | 70 |
| 4 1 0 | 30.6 | 2.919 | 70 |
| 1 4 1 | 31.0 | 2.881 | 52 |
| 2 4 1 | 33.8 | 2.653 | 44 |
| 3 3 1 | 36.1 | 2.487 | 33 |
| 3 6 0 | 34.6 | 2.593 | 28 |
| 0 0 2 | 50.3 | 1.814 | 24 |
| 1 7 2 | 60.4 | 1.533 | 21 |
| 4 1 2 | 60.0 | 1.541 | 21 |
| 1 10 1 | 51.4 | 1.777 | 19 |
| 2 0 1 | 28.8 | 3.095 | 18 |



The following is a computed powder X-ray diffraction pattern of LiCd2AgO4. It was derived from the PBE geometry in Alexandria, using Cu Kα X-rays.
No peak broadening, texture or thermal motion is included.

Structural model:
```
data_LiCd2AgO4
_cell_length_a 8.825
_cell_length_b 8.928
_cell_length_c 6.851
_cell_angle_alpha 90.00
_cell_angle_beta 130.05
_cell_angle_gamma 90.00
_space_group_name_H-M_alt 'C 1 2/c 1'
_space_group_IT_number 15
loop_
_space_group_symop_operation_xyz
'x,y,z'
'-x,-y,-z'
'-x,y,-z+1/2'
'x,-y,z+1/2'
'x+1/2,y+1/2,z'
'-x+1/2,-y+1/2,-z'
'-x+1/2,y+1/2,-z+1/2'
'x+1/2,-y+1/2,z+1/2'
loop_
_atom_site_label
_atom_site_fract_x
_atom_site_fract_y
_atom_site_fract_z
Li1 0.000 0.000 0.000
Cd1 0.000 0.500 0.000
Cd2 0.250 0.250 0.000
Ag1 0.250 0.250 0.500
O1 0.057 0.240 0.578
O2 0.241 0.481 0.461
```

Top 12 peaks for 2θ from 10° to 90°, in order of falling intensity:
| h k l | Position (°2θ) | d [Å] | I (rel.) |
| --- | --- | --- | --- |
| 2 2 0 | 33.2 | 2.695 | 100 |
| 2 2 -2 | 33.3 | 2.692 | 82 |
| 0 0 2 | 34.2 | 2.622 | 74 |
| 1 1 0 | 16.5 | 5.388 | 68 |
| 0 4 0 | 40.4 | 2.232 | 49 |
| 4 0 -2 | 40.9 | 2.206 | 47 |
| 0 4 2 | 53.9 | 1.700 | 36 |
| 2 2 2 | 60.6 | 1.527 | 36 |
| 4 0 -4 | 54.3 | 1.688 | 36 |
| 4 4 -4 | 69.9 | 1.346 | 31 |
| 4 4 -2 | 58.9 | 1.569 | 29 |
| 2 0 0 | 26.4 | 3.377 | 23 |